# Ho3Ge5Pt6
Simulated powder diffractogram, Cu Ka. Input: a structure optimized by DFT (GGA-PBE).

Structural model:
```
data_Ho3Ge5Pt6
_symmetry_space_group_name_H-M 'P m m n'
_symmetry_Int_Tables_number 59
_cell_length_a 4.159
_cell_length_b 12.949
_cell_length_c 9.544
_cell_angle_alpha 90.00
_cell_angle_beta 90.00
_cell_angle_gamma 90.00
loop_
_symmetry_equiv_pos_as_xyz
'x,y,z'
'-x,-y,-z'
'-x+1/2,-y+1/2,z'
'x+1/2,y+1/2,-z'
'x+1/2,-y,-z'
'-x+1/2,y,z'
'-x,y+1/2,-z'
'x,-y+1/2,z'
loop_
_atom_site_label
_atom_site_fract_x
_atom_site_fract_y
_atom_site_fract_z
Ho1 0.250 0.079 0.244
Ho2 0.250 0.750 0.255
Ge1 0.250 0.084 0.849
Ge2 0.250 0.636 0.542
Ge3 0.250 0.750 0.828
Pt1 0.250 0.053 0.595
Pt2 0.250 0.250 0.005
Pt3 0.250 0.250 0.487
Pt4 0.250 0.584 0.008
```

Principal peaks in the range 10° ≤ 2θ ≤ 90°, low angle first:
d/Å  I_rel
4.772  15
2.857  18
2.561  25
2.537  100
2.527  23
2.158  24
2.080  34
1.498  15
1.405  20
1.272  14